Computed powder diffractogram
Compound: K2Al2Sb3
Radiation: Cu Kα (weighted mean of Kα1 and Kα2)
Structure: a DFT-relaxed cell (GGA-PBE, Alexandria)
Lines closer than 0.1° are merged.

Principal peaks in the range 2θ = 10–80°, by intensity:
(hkl)	2θ/deg	Rel. int.
4 1 -1	27.24	100
0 0 2	10.48	82
1 1 -5	29.69	65
3 1 -3	26.73	62
2 2 2	29.14	56
3 1 -1	22.20	48
2 2 0	27.12	47
3 1 3	26.93	44
0 0 4	21.04	42
1 1 5	29.78	39
3 0 2	20.79	36
3 0 -4	27.59	36

Structure:
Cell lengths 14.9356, 7.3229, 16.8912 Å; angles 90.00, 90.54, 90.00 degrees
Fractional positions:
K  0.0565  0.0552  0.1054
K  0.0565  0.4448  0.6054
K  0.1501  0.5482  0.0179
K  0.1501  0.9518  0.5179
K  0.3587  0.0295  0.0071
K  0.3587  0.4705  0.5071
K  0.4253  0.5318  0.1099
K  0.4253  0.9682  0.6099
K  0.5747  0.0318  0.3901
K  0.5747  0.4682  0.8901
K  0.6413  0.5295  0.4929
K  0.6413  0.9705  0.9929
K  0.8499  0.0482  0.4821
K  0.8499  0.4518  0.9821
K  0.9435  0.5552  0.3946
K  0.9435  0.9448  0.8946
Al  0.0950  0.7389  0.2610
Al  0.0950  0.7611  0.7610
Al  0.1876  0.2159  0.3265
Al  0.1876  0.2841  0.8265
Al  0.3158  0.7335  0.3209
Al  0.3158  0.7665  0.8209
Al  0.4058  0.2099  0.2691
Al  0.4058  0.2901  0.7691
Al  0.5942  0.7099  0.2309
Al  0.5942  0.7901  0.7309
Al  0.6842  0.2335  0.1791
Al  0.6842  0.2665  0.6791
Al  0.8124  0.7159  0.1735
Al  0.8124  0.7841  0.6735
Al  0.9050  0.2389  0.2390
Al  0.9050  0.2611  0.7390
Sb  0.0250  0.0427  0.3329
Sb  0.0250  0.4573  0.8329
Sb  0.1715  0.5561  0.3863
Sb  0.1715  0.9439  0.8863
Sb  0.2474  0.6757  0.6749
Sb  0.2474  0.8243  0.1749
Sb  0.2535  0.2222  0.1778
Sb  0.2535  0.2778  0.6778
Sb  0.3355  0.0499  0.4009
Sb  0.3355  0.4501  0.9009
Sb  0.4715  0.5359  0.3242
Sb  0.4715  0.9641  0.8242
Sb  0.5285  0.0359  0.1758
Sb  0.5285  0.4641  0.6758
Sb  0.6645  0.5499  0.0991
Sb  0.6645  0.9501  0.5991
Sb  0.7465  0.7222  0.3222
Sb  0.7465  0.7778  0.8222
Sb  0.7526  0.1757  0.8251
Sb  0.7526  0.3243  0.3251
Sb  0.8285  0.0561  0.1137
Sb  0.8285  0.4439  0.6137
Sb  0.9750  0.5427  0.1671
Sb  0.9750  0.9573  0.6671